[1]
Computed powder X-ray diffraction pattern
Compound: CaPd
Radiation: CuKα
Structure: a GGA-PBE-relaxed structure

Structural model:
```
data_CaPd
_cell_length_a 3.536
_cell_length_b 3.536
_cell_length_c 3.536
_cell_angle_alpha 90.00
_cell_angle_beta 90.00
_cell_angle_gamma 90.00
_symmetry_space_group_name_H-M 'P m -3 m'
_symmetry_Int_Tables_number 221
_symmetry_space_group_name_Hall '-P 4 2 3'
loop_
_atom_site_label
_atom_site_type_symbol
_atom_site_fract_x
_atom_site_fract_y
_atom_site_fract_z
_atom_site_occupancy
Ca1 Ca 0.000 0.000 0.000 1
Pd1 Pd 0.500 0.500 0.500 1
```

Peak list (7 most intense, 10° ≤ 2θ ≤ 80°, low angle first)
Position (°2θ)	I_rel
25.19	24
35.92	100
44.38	7
51.71	17
58.36	10
64.56	34
76.15	10

[2]
Computed powder X-ray diffraction pattern
Compound: Ho3Mg2Sc3
Radiation: CuKα
Structure: a GGA-PBE-relaxed structure

Structural model:
```
data_Ho3Mg2Sc3
_cell_length_a 4.783
_cell_length_b 4.862
_cell_length_c 18.269
_cell_angle_alpha 90.00
_cell_angle_beta 90.00
_cell_angle_gamma 90.00
_symmetry_space_group_name_H-M 'I m m m'
_symmetry_Int_Tables_number 71
_symmetry_space_group_name_Hall '-I 2 2'
loop_
_atom_site_label
_atom_site_type_symbol
_atom_site_fract_x
_atom_site_fract_y
_atom_site_fract_z
_atom_site_occupancy
Ho1 Ho 0.000 0.000 0.000 1
Ho2 Ho 0.000 0.500 0.127 1
Mg1 Mg 0.000 0.000 0.250 1
Sc1 Sc 0.000 0.000 0.500 1
Sc2 Sc 0.000 0.500 0.370 1
```

Peak list (12 most intense, 10° ≤ 2θ ≤ 80°, low angle first)
Position (°2θ)	I_rel
19.18	32
23.41	20
32.78	100
36.98	18
37.61	17
39.46	15
53.77	12
55.18	11
63.99	14
64.84	13
67.36	12
68.71	11

[3]
Computed powder X-ray diffraction pattern
Compound: Li2GaBO4
Radiation: CuKα
Structure: a GGA-PBE-relaxed structure

Structural model:
```
data_Li2GaBO4
_cell_length_a 4.410
_cell_length_b 4.410
_cell_length_c 7.606
_cell_angle_alpha 90.00
_cell_angle_beta 90.00
_cell_angle_gamma 90.00
_symmetry_space_group_name_H-M 'I -4'
_symmetry_Int_Tables_number 82
loop_
_symmetry_equiv_pos_as_xyz
'x,y,z'
'y,-x,-z'
'-x,-y,z'
'-y,x,-z'
'x+1/2,y+1/2,z+1/2'
'y+1/2,-x+1/2,-z+1/2'
'-x+1/2,-y+1/2,z+1/2'
'-y+1/2,x+1/2,-z+1/2'
loop_
_atom_site_label
_atom_site_type_symbol
_atom_site_fract_x
_atom_site_fract_y
_atom_site_fract_z
_atom_site_occupancy
Li1 Li 0.000 0.000 0.000 1
Li2 Li 0.000 0.500 0.250 1
Ga1 Ga 0.000 0.000 0.500 1
B1 B 0.000 0.500 0.750 1
O1 O 0.191 0.708 0.639 1
```

Peak list (12 most intense, 10° ≤ 2θ ≤ 80°, low angle first)
Position (°2θ)	I_rel
23.32	100
28.63	17
37.29	58
41.06	16
47.65	37
56.70	8
59.27	9
59.37	14
64.59	8
64.76	20
72.15	11
79.56	7

[4]
Computed powder X-ray diffraction pattern
Compound: Rb2BaI6Br
Radiation: CuKα
Structure: a GGA-PBE-relaxed structure

Structural model:
```
data_Rb2BaI6Br
_cell_length_a 9.695
_cell_length_b 9.695
_cell_length_c 12.213
_cell_angle_alpha 90.00
_cell_angle_beta 90.00
_cell_angle_gamma 90.00
_symmetry_space_group_name_H-M 'I 4/m m m'
_symmetry_Int_Tables_number 139
_symmetry_space_group_name_Hall '-I 4 2'
loop_
_atom_site_label
_atom_site_type_symbol
_atom_site_fract_x
_atom_site_fract_y
_atom_site_fract_z
_atom_site_occupancy
Rb1 Rb 0.000 0.500 0.250 1
Ba1 Ba 0.000 0.000 0.000 1
I1 I 0.000 0.000 0.278 1
I2 I 0.243 0.243 0.000 1
Br1 Br 0.000 0.000 0.500 1
```

Peak list (12 most intense, 10° ≤ 2θ ≤ 80°, low angle first)
Position (°2θ)	I_rel
12.91	34
14.51	15
23.43	97
25.99	100
29.25	33
37.09	38
39.52	60
44.34	34
47.91	35
60.38	18
62.10	15
68.48	23